# Hf4Zr2Te9
Calculated X-ray powder pattern, Cu Kα X-rays. Input: a crystal structure in Alexandria, relaxed with GGA-PBE.
Neutral-atom scattering factors, no anomalous dispersion.

Structure:
a = 7.124 Å, b = 7.124 Å, c = 19.901 Å
α = 90.00°, β = 90.00°, γ = 120.00°
Fractional positions:
Hf  0.333  0.667  0.337
Hf  0.333  0.667  0.495
Hf  0.333  0.667  0.837
Hf  0.333  0.667  0.995
Hf  0.667  0.333  0.005
Hf  0.667  0.333  0.163
Hf  0.667  0.333  0.505
Hf  0.667  0.333  0.663
Zr  0.000  0.000  0.172
Zr  0.000  0.000  0.328
Zr  0.000  0.000  0.672
Zr  0.000  0.000  0.828
Te  0.000  0.347  0.250
Te  0.000  0.653  0.750
Te  0.010  0.337  0.583
Te  0.010  0.673  0.083
Te  0.327  0.337  0.083
Te  0.327  0.990  0.583
Te  0.337  0.010  0.917
Te  0.337  0.327  0.417
Te  0.347  0.000  0.250
Te  0.347  0.347  0.750
Te  0.653  0.000  0.750
Te  0.653  0.653  0.250
Te  0.663  0.673  0.583
Te  0.663  0.990  0.083
Te  0.673  0.010  0.417
Te  0.673  0.663  0.917
Te  0.990  0.327  0.917
Te  0.990  0.663  0.417

Largest 6 diffraction maxima, in order of rising 2θ, 15 to 90 degrees two-theta:
h k l, 2theta, d (Å), I/Imax
0 1 2, 16.91, 5.243, 35.9
1 1 3, 28.44, 3.138, 91.5
1 1 6, 37.04, 2.427, 100.0
3 0 0, 44.03, 2.056, 59.3
2 2 6, 58.86, 1.569, 25.7
3 0 12, 73.34, 1.291, 26.7